For Ba4U3TlS12, a DFT-relaxed cell (PBE, Alexandria) gives the calculated X-ray powder pattern in this record (CuKα).
Neutral-atom scattering factors, no anomalous dispersion.

Crystal structure
```
data_Ba4U3TlS12
_symmetry_space_group_name_H-M 'I m -3 m'
_symmetry_Int_Tables_number 229
_symmetry_space_group_name_Hall '-I 4 2 3'
_cell_length_a 10.540
_cell_length_b 10.540
_cell_length_c 10.540
_cell_angle_alpha 90.00
_cell_angle_beta 90.00
_cell_angle_gamma 90.00
loop_
_atom_site_label
_atom_site_fract_x
_atom_site_fract_y
_atom_site_fract_z
_atom_site_occupancy
Ba1 0.250 0.250 0.250 1
U1 0.000 0.000 0.500 1
Tl1 0.000 0.000 0.000 1
S1 0.000 0.000 0.264 1
S2 0.000 0.250 0.500 1
```

The 10 most intense peaks (2θ = 5–70°), in order of rising 2θ:
- 16.82 deg, 5.270 Å, I 17, (2 0 0)
- 23.88 deg, 3.726 Å, I 100, (2 2 0)
- 34.03 deg, 2.635 Å, I 41, (4 0 0)
- 38.19 deg, 2.357 Å, I 9, (4 2 0)
- 42.00 deg, 2.151 Å, I 47, (4 2 2)
- 48.88 deg, 1.863 Å, I 29, (4 4 0)
- 52.06 deg, 1.757 Å, I 5, (6 0 0)
- 55.11 deg, 1.666 Å, I 22, (6 2 0)
- 60.90 deg, 1.521 Å, I 10, (4 4 4)
- 66.37 deg, 1.408 Å, I 25, (6 4 2)